For NiOs3, a cell relaxed with GGA-PBE gives the simulated X-ray diffraction stick pattern in this record (Cu Kα, 1.54184 Å).
Neutral-atom scattering factors, no anomalous dispersion.

Main lines, by angle (10 to 90 degrees two-theta):
| 2theta | Rel. int. |
| --- | --- |
| 23.51 | 12 |
| 33.49 | 10 |
| 41.33 | 100 |
| 48.09 | 49 |
| 54.20 | 5 |
| 59.88 | 4 |
| 70.38 | 31 |
| 75.36 | 3 |
| 85.02 | 38 |
| 89.79 | 12 |

Crystal structure
```
data_NiOs3
_cell_length_a 3.7838
_cell_length_b 3.7838
_cell_length_c 3.7838
_cell_angle_alpha 90.00
_cell_angle_beta 90.00
_cell_angle_gamma 90.00
_symmetry_space_group_name_H-M 'P 1'
_symmetry_Int_Tables_number 1
_symmetry_space_group_name_Hall 'P 1'
loop_
_atom_site_label
_atom_site_type_symbol
_atom_site_fract_x
_atom_site_fract_y
_atom_site_fract_z
_atom_site_occupancy
Ni1 Ni 0.0000 0.0000 0.0000 1
Os1 Os 0.0000 0.5000 0.5000 1
Os2 Os 0.5000 0.0000 0.5000 1
Os3 Os 0.5000 0.5000 0.0000 1
```